# CsEuPO4
Theoretical PXRD pattern, λ = 1.5418 Å (Cu Kα). Input: the PBE geometry in Alexandria.

Structure:
Lattice parameters (Å, degrees): 8.060 5.551 10.819 90.00 90.00 90.00
Element x y z (fractional)
1 Cs 0.130 0.250 0.065
2 Cs 0.370 0.750 0.565
3 Cs 0.630 0.250 0.435
4 Cs 0.870 0.750 0.935
5 Eu 0.040 0.250 0.665
6 Eu 0.460 0.750 0.165
7 Eu 0.540 0.250 0.835
8 Eu 0.960 0.750 0.335
9 P 0.184 0.250 0.387
10 P 0.316 0.750 0.887
11 P 0.684 0.250 0.113
12 P 0.816 0.750 0.613
13 O 0.007 0.750 0.588
14 O 0.229 0.750 0.016
15 O 0.230 0.017 0.314
16 O 0.230 0.483 0.314
17 O 0.270 0.517 0.814
18 O 0.270 0.983 0.814
19 O 0.271 0.250 0.516
20 O 0.493 0.250 0.088
21 O 0.507 0.750 0.912
22 O 0.729 0.750 0.484
23 O 0.730 0.017 0.186
24 O 0.730 0.483 0.186
25 O 0.770 0.517 0.686
26 O 0.770 0.983 0.686
27 O 0.771 0.250 0.984
28 O 0.993 0.250 0.412

The 10 most intense peaks (2θ from 10° to 90°), sorted by position:
| h k l | 2θ/deg | I/Imax |
| --- | --- | --- |
| 1 1 2 | 25.51 | 100 |
| 1 0 3 | 27.09 | 59 |
| 2 1 0 | 27.35 | 76 |
| 2 1 1 | 28.59 | 44 |
| 0 1 3 | 29.54 | 31 |
| 0 2 0 | 32.25 | 50 |
| 3 0 2 | 37.37 | 22 |
| 1 2 3 | 42.61 | 32 |
| 0 1 5 | 44.96 | 22 |
| 3 1 4 | 50.63 | 33 |